Diffraction record for Y4Al3Mo2N3. The powder diffractogram is calculated, not measured: it uses a structure optimized by DFT (GGA-PBE) and λ = 1.5418 Å (Cu Kα).
Lines closer than 0.1° are merged.

Atomic structure:
```
data_Y4Al3Mo2N3
_chemical_formula_sum 'Y8 Al6 Mo4 N6'
_cell_length_a 5.8028
_cell_length_b 5.8028
_cell_length_c 14.2336
_cell_angle_alpha 101.59
_cell_angle_beta 101.59
_cell_angle_gamma 60.55
_symmetry_space_group_name_H-M 'P 1'
_symmetry_Int_Tables_number 1
loop_
_symmetry_equiv_pos_as_xyz
'x,y,z'
loop_
_atom_site_label
_atom_site_type_symbol
_atom_site_fract_x
_atom_site_fract_y
_atom_site_fract_z
Y1 Y 0.0336 0.1978 0.0995
Y2 Y 0.1302 0.3024 0.4005
Y3 Y 0.1978 0.0336 0.5995
Y4 Y 0.3024 0.1302 0.9005
Y5 Y 0.6976 0.8698 0.0995
Y6 Y 0.8022 0.9664 0.4005
Y7 Y 0.8698 0.6976 0.5995
Y8 Y 0.9664 0.8022 0.9005
Al1 Al 0.1613 0.8387 0.2500
Al2 Al 0.3251 0.4168 0.7511
Al3 Al 0.4168 0.3251 0.2511
Al4 Al 0.5832 0.6749 0.7489
Al5 Al 0.6749 0.5832 0.2489
Al6 Al 0.8387 0.1613 0.7500
Mo1 Mo 0.3530 0.5245 0.0752
Mo2 Mo 0.4755 0.6470 0.4248
Mo3 Mo 0.5245 0.3530 0.5752
Mo4 Mo 0.6470 0.4755 0.9248
N1 N 0.0000 0.5000 0.0000
N2 N 0.1793 0.6604 0.4999
N3 N 0.3396 0.8207 0.0001
N4 N 0.5000 0.0000 0.5000
N5 N 0.6604 0.1793 0.9999
N6 N 0.8207 0.3396 0.5001
```

Main lines, most intense first (10 to 80 degrees two-theta):
2θ/deg  I/Imax
36.59  100
36.36  52
12.79  45
31.51  24
30.82  23
54.48  22